# 1
Calculated powder diffraction line list
Compound: Ba3Cr2O8
Radiation: Cu Kα (weighted mean of Kα1 and Kα2)
Structure: DFT lattice parameters and positions (GGA+U)
Peak positions follow from Bragg's law for the DFT cell and can differ from measured ones.

Cell and atoms:
```
data_Ba3Cr2O8
_cell_length_a 5.8453
_cell_length_b 5.8472
_cell_length_c 7.9682
_cell_angle_alpha 68.55
_cell_angle_beta 68.54
_cell_angle_gamma 60.06
_space_group_name_H-M_alt 'P 1'
_space_group_IT_number 1
loop_
_space_group_symop_operation_xyz
'x,y,z'
loop_
_atom_site_label
_atom_site_fract_x
_atom_site_fract_y
_atom_site_fract_z
_atom_site_occupancy
Ba1 0.0000 0.0000 0.0000 1
Ba2 0.1999 0.2100 0.3810 1
Ba3 0.4125 0.4120 0.7620 1
Cr1 0.6115 0.6143 0.1598 1
Cr2 0.7972 0.8004 0.6023 1
O1 0.4493 0.9338 0.6869 1
O2 0.4756 0.9626 0.0768 1
O3 0.4768 0.4836 0.0762 1
O4 0.5436 0.5306 0.3963 1
O5 0.8871 0.8702 0.3657 1
O6 0.9278 0.9375 0.6842 1
O7 0.9311 0.4504 0.6816 1
O8 0.9618 0.4778 0.0804 1
```

Principal peaks in the range 2θ from 10° to 90°, low angle first:
two_theta  d [Å]  I/Imax
27.08  3.293  1000
30.57  2.924  878
41.29  2.186  413
45.54  1.992  253
52.24  1.751  305
54.34  1.688  165
55.85  1.646  111
63.65  1.462  148
65.01  1.435  178
73.07  1.295  124

---

# 2
Calculated powder diffraction line list
Compound: Ba3Cr2O8
Radiation: Cu Kα (weighted mean of Kα1 and Kα2)
Structure: DFT lattice parameters and positions (GGA+U)
Peak positions follow from Bragg's law for the DFT cell and can differ from measured ones.

Cell and atoms:
```
data_Ba3Cr2O8
_cell_length_a 10.1240
_cell_length_b 5.8445
_cell_length_c 7.9630
_cell_angle_alpha 90.00
_cell_angle_beta 114.85
_cell_angle_gamma 90.00
_space_group_name_H-M_alt 'C 1 2 1'
_space_group_IT_number 5
loop_
_space_group_symop_operation_xyz
'x,y,z'
'-x,y,-z'
'x+1/2,y+1/2,z'
'-x+1/2,y+1/2,-z'
loop_
_atom_site_label
_atom_site_fract_x
_atom_site_fract_y
_atom_site_fract_z
_atom_site_occupancy
Ba1 0.0000 0.0000 0.0000 1
Ba2 0.2059 0.0049 0.6188 1
Cr1 0.0930 0.5033 0.7791 1
O1 0.0137 0.2617 0.3052 1
O2 0.0144 0.7462 0.3001 1
O3 0.1704 0.5118 0.0156 1
O4 0.2260 0.5006 0.6958 1
```

Principal peaks in the range 2θ from 10° to 90°, low angle first:
two_theta  d [Å]  I/Imax
27.08  3.293  1000
30.59  2.922  877
39.29  2.293  110
41.27  2.188  276
41.38  2.182  136
45.49  1.994  169
52.23  1.751  204
54.38  1.687  164
63.69  1.461  148
64.95  1.436  119

---

# 3
Calculated powder diffraction line list
Compound: Ba3Cr2O8
Radiation: Cu Kα (weighted mean of Kα1 and Kα2)
Structure: DFT lattice parameters and positions (GGA+U)
Peak positions follow from Bragg's law for the DFT cell and can differ from measured ones.

Cell and atoms:
```
data_Ba3Cr2O8
_cell_length_a 5.8210
_cell_length_b 5.8530
_cell_length_c 7.9603
_cell_angle_alpha 111.51
_cell_angle_beta 90.01
_cell_angle_gamma 119.78
_space_group_name_H-M_alt 'P -1'
_space_group_IT_number 2
loop_
_space_group_symop_operation_xyz
'x,y,z'
'-x,-y,-z'
loop_
_atom_site_label
_atom_site_fract_x
_atom_site_fract_y
_atom_site_fract_z
_atom_site_occupancy
Ba1 0.0000 0.0000 0.0000 1
Ba2 0.2065 0.4131 0.6189 1
Cr1 0.4074 0.8152 0.2216 1
O1 0.2434 0.9661 0.6960 1
O2 0.2711 0.5440 0.3004 1
O3 0.2769 0.0336 0.3053 1
O4 0.3267 0.6514 0.9847 1
```

Principal peaks in the range 2θ from 10° to 90°, low angle first:
two_theta  d [Å]  I/Imax
24.08  3.696  161
27.02  3.300  492
27.15  3.284  1000
30.54  2.927  879
30.72  2.911  433
41.31  2.186  412
41.37  2.182  204
45.58  1.990  377
52.31  1.749  153
54.50  1.684  163